[1]
Diffraction record for Tb4In20Ni11. The XRD peak list is theoretical, not measured: it uses the PBE geometry in the Materials Project and Cu Kα (λ = 1.5418 Å).
No peak broadening, texture or thermal motion is included.

Cell and atoms:
Cell lengths 4.3219, 11.4715, 13.9622 Å; angles 80.76, 81.11, 79.17 degrees
Element x y z (fractional)
Tb 0.0000 0.0000 0.0000
Tb 0.1065 0.2766 0.5070
Tb 0.3414 0.4620 0.8432
Tb 0.4539 0.7365 0.3492
In 0.0264 0.7683 0.1774
In 0.1151 0.0507 0.7243
In 0.1646 0.7058 0.9631
In 0.2215 0.2938 0.2706
In 0.2386 0.4445 0.0794
In 0.2910 0.0327 0.3835
In 0.3459 0.6908 0.6227
In 0.4308 0.9675 0.1707
In 0.4723 0.1669 0.8840
In 0.5228 0.2730 0.6765
In 0.6012 0.4281 0.3710
In 0.6187 0.9028 0.8642
In 0.6293 0.5793 0.1662
In 0.6868 0.0734 0.5513
In 0.7647 0.6658 0.7971
In 0.8319 0.1569 0.1828
In 0.8371 0.8379 0.4823
In 0.8528 0.3097 0.9790
In 0.9257 0.4665 0.6732
In 0.9778 0.5723 0.4657
Ni 0.0953 0.5375 0.2776
Ni 0.2044 0.8168 0.7738
Ni 0.2489 0.9252 0.5733
Ni 0.3643 0.2004 0.0711
Ni 0.4773 0.4786 0.5577
Ni 0.5772 0.7938 0.0529
Ni 0.7261 0.1869 0.3689
Ni 0.7298 0.8673 0.6730
Ni 0.7347 0.5510 0.9791
Ni 0.8807 0.9414 0.2941
Ni 0.9716 0.2606 0.7916

Most intense lines, 2θ = 10–80°, in order of falling intensity:
two_theta, intensity
41.81, 100
35.21, 100
35.92, 58
34.53, 46
35.49, 45
31.53, 32
34.32, 28
35.30, 28
42.63, 28
43.63, 27


[2]
Diffraction record for K4In3Ge20. The XRD peak list is theoretical, not measured: it uses the PBE geometry in the Materials Project and Cu Kα (λ = 1.5418 Å).
No peak broadening, texture or thermal motion is included.

Cell and atoms:
Cell lengths 11.1734, 11.1734, 11.1734 Å; angles 90.00, 90.00, 90.00 degrees
Element x y z (fractional)
K 0.0000 0.0000 0.0000
K 0.0000 0.2500 0.5000
K 0.0000 0.7500 0.5000
K 0.2500 0.5000 0.0000
K 0.5000 0.0000 0.2500
K 0.5000 0.0000 0.7500
K 0.5000 0.5000 0.5000
K 0.7500 0.5000 0.0000
In 0.0000 0.5000 0.2500
In 0.0000 0.5000 0.7500
In 0.2500 0.0000 0.5000
In 0.5000 0.2500 0.0000
In 0.5000 0.7500 0.0000
In 0.7500 0.0000 0.5000
Ge 0.0000 0.2997 0.1146
Ge 0.0000 0.2997 0.8854
Ge 0.0000 0.7003 0.1146
Ge 0.0000 0.7003 0.8854
Ge 0.1146 0.0000 0.2997
Ge 0.1146 0.0000 0.7003
Ge 0.1834 0.1834 0.1834
Ge 0.1834 0.1834 0.8166
Ge 0.1834 0.8166 0.1834
Ge 0.1834 0.8166 0.8166
Ge 0.2003 0.5000 0.3854
Ge 0.2003 0.5000 0.6146
Ge 0.2997 0.1146 0.0000
Ge 0.2997 0.8854 0.0000
Ge 0.3166 0.3166 0.3166
Ge 0.3166 0.3166 0.6834
Ge 0.3166 0.6834 0.3166
Ge 0.3166 0.6834 0.6834
Ge 0.3854 0.2003 0.5000
Ge 0.3854 0.7997 0.5000
Ge 0.5000 0.3854 0.2003
Ge 0.5000 0.3854 0.7997
Ge 0.5000 0.6146 0.2003
Ge 0.5000 0.6146 0.7997
Ge 0.6146 0.2003 0.5000
Ge 0.6146 0.7997 0.5000
Ge 0.6834 0.3166 0.3166
Ge 0.6834 0.3166 0.6834
Ge 0.6834 0.6834 0.3166
Ge 0.6834 0.6834 0.6834
Ge 0.7003 0.1146 0.0000
Ge 0.7003 0.8854 0.0000
Ge 0.7997 0.5000 0.3854
Ge 0.7997 0.5000 0.6146
Ge 0.8166 0.1834 0.1834
Ge 0.8166 0.1834 0.8166
Ge 0.8166 0.8166 0.1834
Ge 0.8166 0.8166 0.8166
Ge 0.8854 0.0000 0.2997
Ge 0.8854 0.0000 0.7003

Most intense lines, 2θ = 10–80°, in order of falling intensity:
two_theta, intensity
29.92, 100
47.45, 75
50.34, 55
17.75, 54
27.66, 49
36.86, 32
33.06, 24
48.18, 21
48.91, 21
43.62, 17


[3]
Diffraction record for KPuO3. The XRD peak list is theoretical, not measured: it uses the PBE geometry in the Materials Project and Cu Kα (λ = 1.5418 Å).
No peak broadening, texture or thermal motion is included.

Cell and atoms:
Cell lengths 4.2821, 4.2821, 4.2821 Å; angles 90.00, 90.00, 90.00 degrees
Element x y z (fractional)
K 0.0000 0.0000 0.0000
Pu 0.5000 0.5000 0.5000
O 0.0000 0.5000 0.5000
O 0.5000 0.0000 0.5000
O 0.5000 0.5000 0.0000

Most intense lines, 2θ = 10–80°, in order of falling intensity:
two_theta, intensity
29.50, 100
20.74, 77
52.33, 42
47.48, 37
42.21, 30
61.22, 19
65.38, 18
69.41, 18
36.34, 12
73.33, 6


[4]
Diffraction record for Li2GaSi. The XRD peak list is theoretical, not measured: it uses the PBE geometry in the Materials Project and Cu Kα (λ = 1.5418 Å).
No peak broadening, texture or thermal motion is included.

Cell and atoms:
Cell lengths 4.4561, 4.4561, 4.4561 Å; angles 60.00, 60.00, 60.00 degrees
Element x y z (fractional)
Li 0.0000 0.0000 0.0000
Li 0.2500 0.2500 0.2500
Ga 0.7500 0.7500 0.7500
Si 0.5000 0.5000 0.5000

Most intense lines, 2θ = 10–80°, in order of falling intensity:
two_theta, intensity
24.47, 100
40.49, 94
47.87, 47
73.64, 31
28.32, 19
64.45, 19
58.59, 15
78.94, 14
66.34, 7
50.15, 5


[5]
Diffraction record for EuSn2Ir. The XRD peak list is theoretical, not measured: it uses the PBE geometry in the Materials Project and Cu Kα (λ = 1.5418 Å).
No peak broadening, texture or thermal motion is included.

Cell and atoms:
Cell lengths 6.0603, 6.0603, 7.6603 Å; angles 90.00, 90.00, 137.52 degrees
Element x y z (fractional)
Eu 0.0640 0.9360 0.7500
Eu 0.9360 0.0640 0.2500
Sn 0.3517 0.6483 0.5478
Sn 0.3517 0.6483 0.9522
Sn 0.6483 0.3517 0.0478
Sn 0.6483 0.3517 0.4522
Ir 0.2130 0.7870 0.2500
Ir 0.7870 0.2130 0.7500

Most intense lines, 2θ = 10–80°, in order of falling intensity:
two_theta, intensity
32.00, 100
33.46, 94
33.83, 55
41.12, 47
39.33, 41
41.69, 41
54.27, 40
61.18, 32
58.45, 28
15.69, 26


[6]
Diffraction record for MgSiO4. The XRD peak list is theoretical, not measured: it uses the PBE geometry in the Materials Project and Cu Kα (λ = 1.5418 Å).
No peak broadening, texture or thermal motion is included.

Cell and atoms:
Cell lengths 4.4979, 2.8363, 4.6260 Å; angles 90.00, 93.39, 90.00 degrees
Element x y z (fractional)
Mg 0.0000 0.0000 0.0000
Si 0.5000 0.5000 0.5000
O 0.2496 0.5000 0.2135
O 0.3037 0.0000 0.6613
O 0.6963 0.0000 0.3387
O 0.7504 0.5000 0.7865

Most intense lines, 2θ = 10–80°, in order of falling intensity:
two_theta, intensity
26.86, 100
28.54, 57
43.03, 51
54.95, 43
41.90, 36
37.51, 33
54.28, 28
69.48, 25
59.06, 24
65.86, 18


[7]
Diffraction record for RbAgBr3. The XRD peak list is theoretical, not measured: it uses the PBE geometry in the Materials Project and Cu Kα (λ = 1.5418 Å).
No peak broadening, texture or thermal motion is included.

Cell and atoms:
Cell lengths 5.4468, 5.4468, 5.4472 Å; angles 90.13, 90.13, 90.00 degrees
Element x y z (fractional)
Rb 0.0000 0.0000 0.0000
Ag 0.5039 0.5039 0.5132
Br 0.0009 0.5075 0.5113
Br 0.4954 0.4954 0.0128
Br 0.5075 0.0009 0.5113

Most intense lines, 2θ = 10–80°, in order of falling intensity:
two_theta, intensity
32.89, 100
28.38, 48
47.17, 47
23.09, 34
16.27, 34
47.25, 23
78.50, 20
58.69, 18
36.90, 18
55.97, 16


[8]
Diffraction record for CeSe2. The XRD peak list is theoretical, not measured: it uses the PBE geometry in the Materials Project and Cu Kα (λ = 1.5418 Å).
No peak broadening, texture or thermal motion is included.

Cell and atoms:
Cell lengths 8.4608, 8.4608, 9.9771 Å; angles 90.00, 90.00, 120.00 degrees
Element x y z (fractional)
Ce 0.0000 0.5100 0.3333
Ce 0.4900 0.4900 0.0000
Ce 0.5100 0.0000 0.6667
Se 0.2116 0.4640 0.1512
Se 0.2524 0.7884 0.4846
Se 0.4640 0.2116 0.8488
Se 0.5360 0.7476 0.8179
Se 0.7476 0.5360 0.1821
Se 0.7884 0.2524 0.5154

Most intense lines, 2θ = 10–80°, in order of falling intensity:
two_theta, intensity
15.00, 100
12.08, 27
27.65, 26
36.49, 18
37.13, 15
25.91, 12
45.55, 11
42.48, 10
42.05, 9
30.27, 8


[9]
Diffraction record for TbGa3Ni. The XRD peak list is theoretical, not measured: it uses the PBE geometry in the Materials Project and Cu Kα (λ = 1.5418 Å).
No peak broadening, texture or thermal motion is included.

Cell and atoms:
Cell lengths 6.0624, 6.0624, 6.0624 Å; angles 140.95, 140.95, 56.41 degrees
Element x y z (fractional)
Tb 0.0000 0.0000 0.0000
Ga 0.3845 0.3845 0.0000
Ga 0.6155 0.6155 0.0000
Ga 0.7500 0.2500 0.5000
Ni 0.2500 0.7500 0.5000

Most intense lines, 2θ = 10–80°, in order of falling intensity:
two_theta, intensity
35.55, 100
33.50, 76
44.73, 52
57.02, 36
48.14, 35
67.80, 25
76.44, 21
31.22, 20
65.11, 16
61.29, 12


- What is the formula in the fourth record?
  Li2GaSi